Starting from a structure optimized by DFT (PBE), the powder XRD pattern of CsTa2ReAu was simulated for Cu Ka.
Intensities are scaled so that the largest is 100.

Cell and atoms:
```
CsTa2ReAu
1.0
4.9166 0.0000 0.0000
0.0000 4.9166 0.0000
0.0000 0.0000 5.5987
Cs Ta Re Au
1 2 1 1
Cartesian
0.0000 0.0000 0.0000
0.0000 2.4583 2.7994
2.4583 0.0000 2.7994
2.4583 2.4583 2.7994
2.4583 2.4583 0.0000
```

Top 10 peaks for 2θ = 10–80°, in order of rising 2θ:
| Position (°2θ) | d [Å] | I_rel | h k l |
| --- | --- | --- | --- |
| 15.83 | 5.599 | 21.2 | 0 0 1 |
| 18.04 | 4.917 | 42.5 | 1 0 0 |
| 30.26 | 2.953 | 100.0 | 1 1 1 |
| 31.97 | 2.799 | 65.0 | 0 0 2 |
| 36.55 | 2.458 | 91.0 | 2 0 0 |
| 49.34 | 1.847 | 78.2 | 2 0 2 |
| 52.65 | 1.738 | 32.3 | 2 2 0 |
| 61.94 | 1.498 | 26.4 | 3 1 1 |
| 62.94 | 1.477 | 37.9 | 2 2 2 |
| 78.66 | 1.216 | 20.3 | 2 0 4 |